This entry pairs a crystal structure of Y9Tm2Th with its simulated powder diffractogram. Radiation: Cu Ka. Structure: a crystal structure in Alexandria, relaxed with PBE.

Peak list (10 most intense, 15° ≤ 2θ ≤ 90°, by angle)
2θ/deg  I_rel
17.60  12
24.99  10
30.73  100
35.63  50
51.28  35
60.94  28
61.05  14
64.00  12
83.64  17
86.28  11

Structural model:
abc: 5.0433 5.0433 15.0954
angles: 90.00 90.00 90.00
Atoms (fractional coordinates):
Y 0.0000 0.0000 0.0000
Y 0.0000 0.0000 0.3357
Y 0.0000 0.0000 0.6643
Y 0.0000 0.5000 0.1659
Y 0.0000 0.5000 0.5000
Y 0.0000 0.5000 0.8341
Y 0.5000 0.0000 0.1659
Y 0.5000 0.0000 0.5000
Y 0.5000 0.0000 0.8341
Tm 0.5000 0.5000 0.3337
Tm 0.5000 0.5000 0.6663
Th 0.5000 0.5000 0.0000



This entry pairs a crystal structure of Ac4PdPt2 with its simulated powder diffractogram. Radiation: Cu Ka. Structure: a crystal structure in Alexandria, relaxed with PBE.

Peak list (10 most intense, 15° ≤ 2θ ≤ 90°, by angle)
2θ/deg  I_rel
26.21  100
26.45  50
34.39  71
34.58  33
40.08  25
40.54  48
45.17  26
45.26  13
48.66  20
53.95  19

Structural model:
abc: 8.3215 8.3215 7.6808
angles: 117.39 117.39 31.37
Atoms (fractional coordinates):
Ac 0.1301 0.1301 0.4707
Ac 0.3665 0.3665 0.0374
Ac 0.6335 0.6335 0.9626
Ac 0.8699 0.8699 0.5293
Pd 0.5000 0.5000 0.5000
Pt 0.2458 0.2458 0.2446
Pt 0.7542 0.7542 0.7554



This entry pairs a crystal structure of La3Ho4S8 with its simulated powder diffractogram. Radiation: Cu Ka. Structure: a crystal structure in Alexandria, relaxed with PBE.

Peak list (10 most intense, 15° ≤ 2θ ≤ 90°, by angle)
2θ/deg  I_rel
27.06  35
27.37  34
31.52  100
44.79  12
45.18  48
45.58  12
53.81  11
55.80  13
56.47  12
74.79  16

Structural model:
abc: 8.0243 8.0243 7.9612
angles: 119.69 119.69 90.04
Atoms (fractional coordinates):
La 0.0000 0.0000 0.0000
La 0.0000 0.5000 0.0000
La 0.5000 0.0000 0.0000
Ho 0.0000 0.5000 0.5000
Ho 0.5000 0.0000 0.5000
Ho 0.5000 0.5000 0.0000
Ho 0.5000 0.5000 0.5000
S 0.2573 0.7427 0.0000
S 0.2565 0.7435 0.5000
S 0.2616 0.2616 0.5135
S 0.2657 0.2657 0.0164
S 0.7343 0.7343 0.9836
S 0.7384 0.7384 0.4865
S 0.7427 0.2573 0.0000
S 0.7435 0.2565 0.5000



This entry pairs a crystal structure of Th2TiS2Br4 with its simulated powder diffractogram. Radiation: Cu Ka. Structure: a crystal structure in Alexandria, relaxed with PBE.

Peak list (10 most intense, 15° ≤ 2θ ≤ 90°, by angle)
2θ/deg  I_rel
28.32  42
29.40  24
30.71  22
32.45  100
34.58  34
37.04  34
39.77  41
50.14  34
60.33  17
68.59  19

Structural model:
abc: 3.6389 3.6389 22.8315
angles: 90.00 90.00 120.00
Atoms (fractional coordinates):
Th 0.0000 0.0000 0.0000
Th 0.3333 0.6667 0.3659
Ti 0.3333 0.6667 0.6917
S 0.0000 0.0000 0.6287
S 0.0000 0.0000 0.7552
Br 0.0000 0.0000 0.2699
Br 0.0000 0.0000 0.4608
Br 0.3333 0.6667 0.0959
Br 0.3333 0.6667 0.9052



This entry pairs a crystal structure of BeV3B3 with its simulated powder diffractogram. Radiation: Cu Ka. Structure: a crystal structure in Alexandria, relaxed with PBE.

Peak list (10 most intense, 15° ≤ 2θ ≤ 90°, by angle)
2θ/deg  I_rel
30.20  35
35.72  87
39.89  24
44.37  100
44.84  70
56.41  19
61.11  15
70.91  19
72.85  17
79.10  21

Structural model:
abc: 7.1098 7.1098 7.1098
angles: 155.45 155.37 35.06
Atoms (fractional coordinates):
Be 0.0000 0.0000 0.0000
V 0.3739 0.8739 0.5000
V 0.5692 0.5692 0.0000
V 0.7526 0.2526 0.5000
B 0.1342 0.1342 0.0000
B 0.2018 0.7018 0.5000
B 0.9225 0.4225 0.5000



This entry pairs a crystal structure of Ac2Mg12Pt7 with its simulated powder diffractogram. Radiation: Cu Ka. Structure: a crystal structure in Alexandria, relaxed with PBE.

Peak list (10 most intense, 15° ≤ 2θ ≤ 90°, by angle)
2θ/deg  I_rel
24.86  93
26.86  40
28.49  94
32.95  100
40.56  41
43.34  30
43.78  70
47.14  41
50.61  28
63.30  47

Structural model:
abc: 10.9406 10.9406 4.1755
angles: 90.00 90.00 120.00
Atoms (fractional coordinates):
Ac 0.0000 0.0000 0.0000
Ac 0.3333 0.6667 0.5000
Mg 0.0563 0.2940 0.5000
Mg 0.0924 0.7128 0.0000
Mg 0.2377 0.9437 0.5000
Mg 0.2872 0.3796 0.0000
Mg 0.3913 0.1716 0.0000
Mg 0.5400 0.4211 0.5000
Mg 0.5789 0.1189 0.5000
Mg 0.6204 0.9076 0.0000
Mg 0.7060 0.7623 0.5000
Mg 0.7803 0.6087 0.0000
Mg 0.8284 0.2197 0.0000
Mg 0.8811 0.4600 0.5000
Pt 0.0829 0.4619 0.0000
Pt 0.2504 0.2025 0.5000
Pt 0.3790 0.9171 0.0000
Pt 0.5381 0.6210 0.0000
Pt 0.6667 0.3333 0.0000
Pt 0.7975 0.0479 0.5000
Pt 0.9521 0.7496 0.5000



This entry pairs a crystal structure of Zr3ScSn2 with its simulated powder diffractogram. Radiation: Cu Ka. Structure: a crystal structure in Alexandria, relaxed with PBE.

Peak list (10 most intense, 15° ≤ 2θ ≤ 90°, by angle)
2θ/deg  I_rel
24.02  26
32.99  53
34.34  100
36.23  31
37.06  45
37.50  45
38.05  94
40.71  31
44.43  49
67.69  39

Structural model:
abc: 8.7405 8.7405 8.9538
angles: 112.58 112.58 26.98
Atoms (fractional coordinates):
Zr 0.0578 0.0578 0.1715
Zr 0.3121 0.3121 0.6038
Zr 0.3616 0.3616 0.0146
Zr 0.6384 0.6384 0.9854
Zr 0.6879 0.6879 0.3962
Zr 0.9422 0.9422 0.8285
Sc 0.1155 0.1155 0.6148
Sc 0.8845 0.8845 0.3852
Sn 0.2502 0.2502 0.2157
Sn 0.4950 0.4950 0.6552
Sn 0.5050 0.5050 0.3448
Sn 0.7498 0.7498 0.7843



This entry pairs a crystal structure of BaNa2Bi with its simulated powder diffractogram. Radiation: Cu Ka. Structure: a crystal structure in Alexandria, relaxed with PBE.

Peak list (10 most intense, 15° ≤ 2θ ≤ 90°, by angle)
2θ/deg  I_rel
25.62  100
29.13  23
33.02  53
34.99  17
38.04  44
44.61  23
46.15  16
57.31  22
57.68  14
61.52  18

Structural model:
abc: 12.7866 12.7866 12.7866
angles: 156.86 156.86 32.95
Atoms (fractional coordinates):
Ba 0.0000 0.0000 0.0000
Ba 0.7500 0.2500 0.5000
Na 0.1899 0.6250 0.0649
Na 0.3750 0.4399 0.5649
Na 0.5601 0.1250 0.9351
Na 0.8750 0.8101 0.4351
Bi 0.2500 0.7500 0.5000
Bi 0.5000 0.5000 0.0000



This entry pairs a crystal structure of Tb2Y4Ho3 with its simulated powder diffractogram. Radiation: Cu Ka. Structure: a crystal structure in Alexandria, relaxed with PBE.

Peak list (10 most intense, 15° ≤ 2θ ≤ 90°, by angle)
2θ/deg  I_rel
28.23  15
30.27  65
30.96  100
31.84  98
37.57  27
38.17  30
50.19  13
51.61  13
56.17  21
58.40  14

Structural model:
abc: 9.9589 9.9589 6.1306
angles: 94.76 94.76 71.00
Atoms (fractional coordinates):
Tb 0.0231 0.7361 0.6774
Tb 0.2639 0.9769 0.8226
Tb 0.7361 0.0231 0.1774
Tb 0.9769 0.2639 0.3226
Y 0.0734 0.3518 0.8483
Y 0.3112 0.5962 0.9866
Y 0.3518 0.0734 0.3483
Y 0.4038 0.6888 0.5134
Y 0.5962 0.3112 0.4866
Y 0.6482 0.9266 0.6517
Y 0.6888 0.4038 0.0134
Y 0.9266 0.6482 0.1517
Ho 0.0942 0.9058 0.2500
Ho 0.2360 0.4309 0.4145
Ho 0.4309 0.2360 0.9145
Ho 0.5691 0.7640 0.0855
Ho 0.7640 0.5691 0.5855
Ho 0.9058 0.0942 0.7500



This entry pairs a crystal structure of Li2BiBO5 with its simulated powder diffractogram. Radiation: Cu Ka. Structure: a crystal structure in Alexandria, relaxed with PBE.

Peak list (10 most intense, 15° ≤ 2θ ≤ 90°, by angle)
2θ/deg  I_rel
18.67  73
19.95  100
27.46  77
28.36  71
34.18  69
40.57  41
43.16  29
44.99  22
45.58  39
49.67  39

Structural model:
abc: 6.2933 6.2933 4.7516
angles: 90.00 90.00 90.00
Atoms (fractional coordinates):
Li 0.0000 0.0000 0.0000
Li 0.0000 0.5000 0.0000
Li 0.5000 0.0000 0.0000
Li 0.5000 0.5000 0.0000
Bi 0.2500 0.2500 0.4520
Bi 0.7500 0.7500 0.5480
B 0.2500 0.7500 0.5000
B 0.7500 0.2500 0.5000
O 0.0691 0.7500 0.7011
O 0.2500 0.2500 0.8806
O 0.2500 0.5691 0.2989
O 0.2500 0.9309 0.2989
O 0.4309 0.7500 0.7011
O 0.5691 0.2500 0.2989
O 0.7500 0.0691 0.7011
O 0.7500 0.4309 0.7011
O 0.7500 0.7500 0.1194
O 0.9309 0.2500 0.2989



This entry pairs a crystal structure of DyErTm2Se4 with its simulated powder diffractogram. Radiation: Cu Ka. Structure: a crystal structure in Alexandria, relaxed with PBE.

Peak list (10 most intense, 15° ≤ 2θ ≤ 90°, by angle)
2θ/deg  I_rel
26.82  12
27.32  11
31.35  100
44.30  13
44.93  49
45.59  12
56.36  13
65.43  12
74.26  11
74.41  11

Structural model:
abc: 7.0127 3.9796 7.0328
angles: 90.00 108.77 90.00
Atoms (fractional coordinates):
Dy 0.0000 0.0000 0.0000
Er 0.0000 0.5000 0.5000
Tm 0.5000 0.0000 0.5000
Tm 0.5000 0.5000 0.0000
Se 0.2533 0.0000 0.7495
Se 0.2546 0.5000 0.2532
Se 0.7454 0.5000 0.7468
Se 0.7467 0.0000 0.2505



This entry pairs a crystal structure of La2Dy2Pt3 with its simulated powder diffractogram. Radiation: Cu Ka. Structure: a crystal structure in Alexandria, relaxed with PBE.

Peak list (10 most intense, 15° ≤ 2θ ≤ 90°, by angle)
2θ/deg  I_rel
24.39  10
31.65  100
37.64  54
45.36  16
47.71  13
49.97  10
52.16  27
64.22  26
67.95  11
78.64  20

Structural model:
abc: 7.7430 7.7430 7.7430
angles: 109.47 109.47 109.47
Atoms (fractional coordinates):
La 0.0000 0.1229 0.5000
La 0.1229 0.5000 0.0000
La 0.3771 0.3771 0.3771
La 0.5000 0.0000 0.1229
Dy 0.0000 0.6221 0.5000
Dy 0.5000 0.0000 0.6221
Dy 0.6221 0.5000 0.0000
Dy 0.8779 0.8779 0.8779
Pt 0.1106 0.8606 0.2500
Pt 0.2500 0.1106 0.8606
Pt 0.3894 0.6394 0.7500
Pt 0.6394 0.7500 0.3894
Pt 0.7500 0.3894 0.6394
Pt 0.8606 0.2500 0.1106